# 1
Structure and simulated X-ray diffraction stick pattern of Pm8Dy3Y (a cell relaxed with PBE; copper Kα).

Peak list (10 most intense, 2θ from 5° to 70°, sorted by position)
28.11 deg, I = 237; 30.74 deg, I = 249; 32.13 deg, I = 1000; 42.14 deg, I = 159; 49.73 deg, I = 131; 49.80 deg, I = 65; 55.55 deg, I = 176; 59.60 deg, I = 152; 59.70 deg, I = 75; 60.43 deg, I = 106

Atomic structure:
```
data_Pm8Dy3Y
_cell_length_a 6.353
_cell_length_b 8.598
_cell_length_c 8.611
_cell_angle_alpha 85.06
_cell_angle_beta 68.38
_cell_angle_gamma 68.43
_symmetry_space_group_name_H-M 'P 1'
_symmetry_Int_Tables_number 1
loop_
_symmetry_equiv_pos_as_xyz
'x,y,z'
loop_
_atom_site_label
_atom_site_fract_x
_atom_site_fract_y
_atom_site_fract_z
Pm1 0.000 0.000 0.000
Pm2 0.000 0.499 0.499
Pm3 0.330 0.169 0.169
Pm4 0.331 0.668 0.669
Pm5 0.334 0.249 0.748
Pm6 0.335 0.748 0.249
Pm7 0.666 0.415 0.917
Pm8 0.666 0.916 0.417
Dy1 0.669 0.334 0.334
Dy2 0.998 0.082 0.583
Dy3 0.998 0.582 0.083
Y1 0.669 0.834 0.834
```

***

# 2
Structure and simulated X-ray diffraction stick pattern of PmDy5Y (a cell relaxed with PBE; copper Kα).

Peak list (10 most intense, 2θ from 5° to 70°, sorted by position)
15.46 deg, I = 265; 26.37 deg, I = 218; 30.39 deg, I = 688; 30.69 deg, I = 1000; 30.84 deg, I = 318; 31.02 deg, I = 722; 31.23 deg, I = 989; 33.44 deg, I = 456; 35.51 deg, I = 418; 46.54 deg, I = 302

Atomic structure:
```
data_PmDy5Y
_cell_length_a 11.718
_cell_length_b 6.756
_cell_length_c 12.205
_cell_angle_alpha 90.00
_cell_angle_beta 110.16
_cell_angle_gamma 90.00
_symmetry_space_group_name_H-M 'C 1 2/c 1'
_symmetry_Int_Tables_number 15
loop_
_symmetry_equiv_pos_as_xyz
'x,y,z'
'-x,-y,-z'
'-x,y,-z+1/2'
'x,-y,z+1/2'
'x+1/2,y+1/2,z'
'-x+1/2,-y+1/2,-z'
'-x+1/2,y+1/2,-z+1/2'
'x+1/2,-y+1/2,z+1/2'
loop_
_atom_site_label
_atom_site_fract_x
_atom_site_fract_y
_atom_site_fract_z
Pm1 0.000 0.029 0.250
Dy1 0.000 0.411 0.750
Dy2 0.079 0.267 0.500
Dy3 0.219 0.366 0.248
Y1 0.250 0.250 0.000
```

***

# 3
Structure and simulated X-ray diffraction stick pattern of Pm2Dy6Y (a cell relaxed with PBE; copper Kα).

Peak list (10 most intense, 2θ from 5° to 70°, sorted by position)
27.32 deg, I = 305; 30.12 deg, I = 142; 30.91 deg, I = 1000; 35.17 deg, I = 666; 41.68 deg, I = 196; 52.88 deg, I = 150; 54.93 deg, I = 126; 57.71 deg, I = 160; 62.49 deg, I = 180; 62.65 deg, I = 266

Atomic structure:
```
data_Pm2Dy6Y
_cell_length_a 3.454
_cell_length_b 10.004
_cell_length_c 17.384
_cell_angle_alpha 90.00
_cell_angle_beta 90.00
_cell_angle_gamma 90.00
_symmetry_space_group_name_H-M 'I m m m'
_symmetry_Int_Tables_number 71
_symmetry_space_group_name_Hall '-I 2 2'
loop_
_atom_site_label
_atom_site_fract_x
_atom_site_fract_y
_atom_site_fract_z
Pm1 0.000 0.000 0.168
Dy1 0.000 0.189 0.000
Dy2 0.000 0.189 0.334
Y1 0.000 0.000 0.500
```

***

# 4
Structure and simulated X-ray diffraction stick pattern of Pm4Dy6Y19 (a cell relaxed with PBE; copper Kα).

Peak list (10 most intense, 2θ from 5° to 70°, sorted by position)
22.47 deg, I = 276; 26.66 deg, I = 544; 28.54 deg, I = 432; 30.31 deg, I = 1000; 35.14 deg, I = 380; 36.62 deg, I = 825; 42.11 deg, I = 288; 53.84 deg, I = 236; 60.08 deg, I = 272; 61.07 deg, I = 275

Atomic structure:
```
data_Pm4Dy6Y19
_cell_length_a 12.512
_cell_length_b 12.512
_cell_length_c 12.512
_cell_angle_alpha 90.00
_cell_angle_beta 90.00
_cell_angle_gamma 90.00
_symmetry_space_group_name_H-M 'I 2 3'
_symmetry_Int_Tables_number 197
_symmetry_space_group_name_Hall 'I 2 2 3'
loop_
_atom_site_label
_atom_site_fract_x
_atom_site_fract_y
_atom_site_fract_z
Pm1 0.180 0.180 0.180
Dy1 0.000 0.124 0.500
Y1 0.000 0.000 0.000
Y2 0.000 0.000 0.261
Y3 0.061 0.279 0.734
```

***

# 5
Structure and simulated X-ray diffraction stick pattern of Pm9Dy3Y2 (a cell relaxed with PBE; copper Kα).

Peak list (10 most intense, 2θ from 5° to 70°, sorted by position)
25.53 deg, I = 307; 29.80 deg, I = 382; 30.84 deg, I = 674; 32.39 deg, I = 142; 32.83 deg, I = 1000; 34.09 deg, I = 206; 35.92 deg, I = 292; 53.40 deg, I = 162; 53.54 deg, I = 293; 60.23 deg, I = 179

Atomic structure:
```
data_Pm9Dy3Y2
_cell_length_a 9.0562
_cell_length_b 9.0562
_cell_length_c 13.9571
_cell_angle_alpha 90.00
_cell_angle_beta 90.00
_cell_angle_gamma 120.00
_symmetry_space_group_name_H-M 'P 63/m'
_symmetry_Int_Tables_number 176
_symmetry_space_group_name_Hall '-P 6c'
loop_
_atom_site_label
_atom_site_fract_x
_atom_site_fract_y
_atom_site_fract_z
Pm1 0.0821 0.4811 0.2500
Pm2 0.1322 0.7244 0.0424
Dy1 0.0789 0.2502 0.7500
Y1 0.3333 0.6667 0.6420
```

***

# 6
Structure and simulated X-ray diffraction stick pattern of PmDyY6 (a cell relaxed with PBE; copper Kα).

Peak list (10 most intense, 2θ from 5° to 70°, sorted by position)
20.78 deg, I = 256; 27.88 deg, I = 482; 29.66 deg, I = 182; 32.12 deg, I = 1000; 32.77 deg, I = 659; 33.60 deg, I = 444; 46.52 deg, I = 221; 51.03 deg, I = 242; 57.63 deg, I = 253; 58.89 deg, I = 191

Atomic structure:
```
data_PmDyY6
_cell_length_a 9.6537
_cell_length_b 9.6537
_cell_length_c 9.9484
_cell_angle_alpha 90.00
_cell_angle_beta 90.00
_cell_angle_gamma 120.00
_symmetry_space_group_name_H-M 'R -3'
_symmetry_Int_Tables_number 148
_symmetry_space_group_name_Hall '-R 3'
loop_
_atom_site_label
_atom_site_fract_x
_atom_site_fract_y
_atom_site_fract_z
Pm1 0.0000 0.0000 0.0000
Dy1 0.0000 0.0000 0.5000
Y1 0.0006 0.7067 0.2510
```

***

# 7
Structure and simulated X-ray diffraction stick pattern of Pm3Dy2Zn2 (a cell relaxed with PBE; copper Kα).

Peak list (10 most intense, 2θ from 5° to 70°, sorted by position)
28.78 deg, I = 247; 32.42 deg, I = 1000; 34.88 deg, I = 561; 36.78 deg, I = 89; 46.72 deg, I = 75; 50.15 deg, I = 200; 51.23 deg, I = 101; 56.22 deg, I = 77; 58.64 deg, I = 99; 61.00 deg, I = 324

Atomic structure:
```
data_Pm3Dy2Zn2
_cell_length_a 3.638
_cell_length_b 3.638
_cell_length_c 29.687
_cell_angle_alpha 90.00
_cell_angle_beta 90.00
_cell_angle_gamma 90.00
_symmetry_space_group_name_H-M 'I 4/m m m'
_symmetry_Int_Tables_number 139
_symmetry_space_group_name_Hall '-I 4 2'
loop_
_atom_site_label
_atom_site_fract_x
_atom_site_fract_y
_atom_site_fract_z
Pm1 0.000 0.000 0.000
Pm2 0.000 0.000 0.122
Dy1 0.000 0.000 0.290
Zn1 0.000 0.000 0.438
```

***

# 8
Structure and simulated X-ray diffraction stick pattern of Pm3Dy2Zn2 (a cell relaxed with PBE; copper Kα).

Peak list (10 most intense, 2θ from 5° to 70°, sorted by position)
28.53 deg, I = 352; 29.14 deg, I = 443; 30.83 deg, I = 697; 31.42 deg, I = 690; 31.66 deg, I = 1000; 33.22 deg, I = 461; 33.65 deg, I = 469; 33.76 deg, I = 330; 35.30 deg, I = 416; 38.46 deg, I = 310

Atomic structure:
```
data_Pm3Dy2Zn2
_cell_length_a 12.935
_cell_length_b 3.745
_cell_length_c 9.205
_cell_angle_alpha 90.00
_cell_angle_beta 115.66
_cell_angle_gamma 90.00
_symmetry_space_group_name_H-M 'C 1 2/m 1'
_symmetry_Int_Tables_number 12
loop_
_symmetry_equiv_pos_as_xyz
'x,y,z'
'-x,-y,-z'
'-x,y,-z'
'x,-y,z'
'x+1/2,y+1/2,z'
'-x+1/2,-y+1/2,-z'
'-x+1/2,y+1/2,-z'
'x+1/2,-y+1/2,z'
loop_
_atom_site_label
_atom_site_fract_x
_atom_site_fract_y
_atom_site_fract_z
Pm1 0.000 0.000 0.000
Pm2 0.109 0.000 0.438
Dy1 0.152 0.500 0.815
Zn1 0.181 0.500 0.224
```

***

# 9
Structure and simulated X-ray diffraction stick pattern of PmDy3Zn8 (a cell relaxed with PBE; copper Kα).

Peak list (10 most intense, 2θ from 5° to 70°, sorted by position)
27.66 deg, I = 109; 32.13 deg, I = 551; 36.23 deg, I = 735; 37.27 deg, I = 140; 38.41 deg, I = 1000; 38.74 deg, I = 532; 59.98 deg, I = 331; 61.49 deg, I = 246; 66.39 deg, I = 272; 67.21 deg, I = 231

Atomic structure:
```
data_PmDy3Zn8
_cell_length_a 5.5719
_cell_length_b 5.5719
_cell_length_c 8.6699
_cell_angle_alpha 90.00
_cell_angle_beta 90.00
_cell_angle_gamma 120.00
_symmetry_space_group_name_H-M 'P 3 m 1'
_symmetry_Int_Tables_number 156
loop_
_symmetry_equiv_pos_as_xyz
'x,y,z'
'-y,x-y,z'
'-x+y,-x,z'
'-y,-x,z'
'-x+y,y,z'
'x,x-y,z'
loop_
_atom_site_label
_atom_site_fract_x
_atom_site_fract_y
_atom_site_fract_z
Pm1 0.0000 0.0000 0.0000
Dy1 0.0000 0.0000 0.3877
Dy2 0.6667 0.3333 0.5051
Dy3 0.6667 0.3333 0.8907
Zn1 0.1664 0.3328 0.6923
Zn2 0.3333 0.6667 0.4446
Zn3 0.3333 0.6667 0.9466
Zn4 0.5016 0.0032 0.1978
```

***

# 10
Structure and simulated X-ray diffraction stick pattern of PmDy4Zn4 (a cell relaxed with PBE; copper Kα).

Peak list (10 most intense, 2θ from 5° to 70°, sorted by position)
27.32 deg, I = 1000; 29.70 deg, I = 598; 33.29 deg, I = 360; 35.24 deg, I = 475; 37.83 deg, I = 153; 38.43 deg, I = 954; 46.74 deg, I = 345; 61.64 deg, I = 188; 62.07 deg, I = 233; 65.39 deg, I = 304

Atomic structure:
```
data_PmDy4Zn4
_cell_length_a 9.512
_cell_length_b 9.512
_cell_length_c 5.094
_cell_angle_alpha 90.00
_cell_angle_beta 90.00
_cell_angle_gamma 90.00
_symmetry_space_group_name_H-M 'I 4/m'
_symmetry_Int_Tables_number 87
_symmetry_space_group_name_Hall '-I 4'
loop_
_atom_site_label
_atom_site_fract_x
_atom_site_fract_y
_atom_site_fract_z
Pm1 0.000 0.000 0.000
Dy1 0.108 0.348 0.000
Zn1 0.078 0.182 0.500
```

***

# 11
Structure and simulated X-ray diffraction stick pattern of Pm4Dy3Zn (a cell relaxed with PBE; copper Kα).

Peak list (10 most intense, 2θ from 5° to 70°, sorted by position)
28.44 deg, I = 152; 31.15 deg, I = 1000; 33.36 deg, I = 93; 34.99 deg, I = 442; 38.30 deg, I = 79; 49.12 deg, I = 126; 50.32 deg, I = 158; 52.84 deg, I = 124; 59.82 deg, I = 127; 60.38 deg, I = 303

Atomic structure:
```
data_Pm4Dy3Zn
_cell_length_a 3.626
_cell_length_b 3.626
_cell_length_c 18.800
_cell_angle_alpha 90.00
_cell_angle_beta 90.00
_cell_angle_gamma 90.00
_symmetry_space_group_name_H-M 'P 4/m m m'
_symmetry_Int_Tables_number 123
_symmetry_space_group_name_Hall '-P 4 2'
loop_
_atom_site_label
_atom_site_fract_x
_atom_site_fract_y
_atom_site_fract_z
Pm1 0.000 0.000 0.097
Pm2 0.000 0.000 0.366
Dy1 0.500 0.500 0.234
Dy2 0.500 0.500 0.500
Zn1 0.500 0.500 0.000
```

***

# 12
Structure and simulated X-ray diffraction stick pattern of PmDy2Zn2 (a cell relaxed with PBE; copper Kα).

Peak list (10 most intense, 2θ from 5° to 70°, sorted by position)
24.76 deg, I = 76; 26.39 deg, I = 168; 33.74 deg, I = 192; 34.34 deg, I = 281; 34.50 deg, I = 1000; 48.91 deg, I = 134; 50.27 deg, I = 95; 60.84 deg, I = 86; 61.61 deg, I = 184; 62.30 deg, I = 99

Atomic structure:
```
data_PmDy2Zn2
_cell_length_a 3.630
_cell_length_b 5.223
_cell_length_c 13.405
_cell_angle_alpha 90.00
_cell_angle_beta 97.80
_cell_angle_gamma 90.00
_symmetry_space_group_name_H-M 'P 1 21/m 1'
_symmetry_Int_Tables_number 11
loop_
_symmetry_equiv_pos_as_xyz
'x,y,z'
'-x,-y,-z'
'-x,y+1/2,-z'
'x,-y+1/2,z'
loop_
_atom_site_label
_atom_site_fract_x
_atom_site_fract_y
_atom_site_fract_z
Pm1 0.144 0.250 0.286
Dy1 0.046 0.750 0.093
Dy2 0.232 0.750 0.465
Zn1 0.360 0.250 0.720
Zn2 0.453 0.750 0.906
```

***

# 13
Structure and simulated X-ray diffraction stick pattern of PmDy2Zn2 (a cell relaxed with PBE; copper Kα).

Peak list (10 most intense, 2θ from 5° to 70°, sorted by position)
27.27 deg, I = 415; 28.20 deg, I = 711; 30.95 deg, I = 487; 33.77 deg, I = 957; 33.91 deg, I = 1000; 34.03 deg, I = 915; 36.80 deg, I = 544; 37.14 deg, I = 316; 37.85 deg, I = 360; 60.78 deg, I = 358

Atomic structure:
```
data_PmDy2Zn2
_cell_length_a 5.269
_cell_length_b 15.363
_cell_length_c 6.236
_cell_angle_alpha 90.00
_cell_angle_beta 90.00
_cell_angle_gamma 90.00
_symmetry_space_group_name_H-M 'C m c 21'
_symmetry_Int_Tables_number 36
loop_
_symmetry_equiv_pos_as_xyz
'x,y,z'
'-x,-y,z+1/2'
'-x,y,z'
'x,-y,z+1/2'
'x+1/2,y+1/2,z'
'-x+1/2,-y+1/2,z+1/2'
'-x+1/2,y+1/2,z'
'x+1/2,-y+1/2,z+1/2'
loop_
_atom_site_label
_atom_site_fract_x
_atom_site_fract_y
_atom_site_fract_z
Pm1 0.000 0.084 0.000
Dy1 0.000 0.298 0.241
Dy2 0.000 0.458 0.851
Zn1 0.000 0.126 0.507
Zn2 0.000 0.279 0.733
```